No. 1
Theoretical powder X-ray diffraction pattern
Compound: KRbAgSb
Radiation: a wavelength of 1.5418 Å
Structure: DFT lattice parameters and positions (PBE)
No peak broadening, texture or thermal motion is included.

The 10 most intense peaks (2θ = 15–90°), sorted by position:
Position (°2θ)  I (rel.)
16.35  94
19.35  49
27.27  51
29.88  91
30.64  100
30.90  51
32.67  32
35.03  83
38.48  51
50.71  36

Crystal structure
Lattice parameters (Å, degrees): 6.7228 6.4620 7.0049 90.00 104.45 90.00
Space group P2_1/m (No. 11)
Unique sites:
K (0.1792, 0.2500, 0.0125) (multiplicity 2)
Rb (0.4707, 0.7500, 0.3243) (multiplicity 2)
Ag (0.0000, 0.0000, 0.5000) (multiplicity 2)
Sb (0.2499, 0.7500, 0.7696) (multiplicity 2)

=====

No. 2
Theoretical powder X-ray diffraction pattern
Compound: KRb2Ag3Sb2
Radiation: a wavelength of 1.5418 Å
Structure: DFT lattice parameters and positions (PBE)
No peak broadening, texture or thermal motion is included.

The 10 most intense peaks (2θ = 15–90°), sorted by position:
Position (°2θ)  I (rel.)
17.79  71
25.26  43
27.90  53
31.81  39
32.57  62
36.04  61
36.69  100
45.61  35
55.28  39
57.65  35

Crystal structure
Lattice parameters (Å, degrees): 6.3961 6.3961 22.8612 90.00 90.00 120.00
Space group R-3m (No. 166, hexagonal axes)
Unique sites:
K (0.0000, 0.0000, 0.0000) (multiplicity 3)
Rb (0.0000, 0.0000, 0.4134) (multiplicity 6)
Ag (0.0000, 0.5000, 0.5000) (multiplicity 9)
Sb (0.0000, 0.0000, 0.2556) (multiplicity 6)

=====

No. 3
Theoretical powder X-ray diffraction pattern
Compound: KRbAgSb
Radiation: a wavelength of 1.5418 Å
Structure: DFT lattice parameters and positions (PBE)
No peak broadening, texture or thermal motion is included.

The 10 most intense peaks (2θ = 15–90°), sorted by position:
Position (°2θ)  I (rel.)
16.33  52
19.10  31
26.83  38
30.20  100
30.62  41
33.04  38
34.91  44
38.76  40
50.26  23
62.82  21

Crystal structure
Lattice parameters (Å, degrees): 6.5020 8.3967 10.8559 90.00 90.00 90.00
Space group Ama2 (No. 40)
Unique sites:
K (0.2500, 0.1530, 0.0000) (multiplicity 4)
Rb (0.2500, 0.1529, 0.6583) (multiplicity 4)
Ag (0.0000, 0.0000, 0.3328) (multiplicity 4)
Sb (0.2500, 0.2601, 0.3279) (multiplicity 4)

=====

No. 4
Theoretical powder X-ray diffraction pattern
Compound: KRbAg2Se2
Radiation: a wavelength of 1.5418 Å
Structure: DFT lattice parameters and positions (PBE)
No peak broadening, texture or thermal motion is included.

The 10 most intense peaks (2θ = 15–90°), sorted by position:
Position (°2θ)  I (rel.)
16.71  65
24.83  31
26.24  100
31.61  75
34.11  57
34.32  22
36.43  22
36.93  27
43.54  58
54.01  22

Crystal structure
Lattice parameters (Å, degrees): 6.6933 6.7934 8.4933 90.00 90.00 90.00
Space group Amm2 (No. 38)
Unique sites:
K (0.0000, 0.0000, 0.0000) (multiplicity 2)
Rb (0.5000, 0.0000, 0.7329) (multiplicity 2)
Ag (0.2490, 0.0000, 0.3608) (multiplicity 4)
Se (0.0000, 0.0000, 0.5805) (multiplicity 2)
Se (0.5000, 0.0000, 0.1424) (multiplicity 2)

=====

No. 5
Theoretical powder X-ray diffraction pattern
Compound: KAg5S3
Radiation: a wavelength of 1.5418 Å
Structure: DFT lattice parameters and positions (PBE)
No peak broadening, texture or thermal motion is included.

The 10 most intense peaks (2θ = 15–90°), sorted by position:
Position (°2θ)  I (rel.)
26.47  32
30.07  17
32.01  23
34.74  100
35.61  25
43.17  17
45.07  19
46.31  21
46.72  14
64.18  10

Crystal structure
Lattice parameters (Å, degrees): 13.4714 13.4714 8.0460 90.00 90.00 120.00
Space group P-62c (No. 190)
Unique sites:
K (0.0000, 0.0000, 0.0000) (multiplicity 2)
K (0.3333, 0.6667, 0.0013) (multiplicity 4)
Ag (0.0000, 0.5354, 0.0000) (multiplicity 6)
Ag (0.0022, 0.3679, 0.7500) (multiplicity 6)
Ag (0.0053, 0.7069, 0.7500) (multiplicity 6)
Ag (0.1493, 0.3335, 0.0013) (multiplicity 12)
S (0.0841, 0.2179, 0.2500) (multiplicity 6)
S (0.1150, 0.5820, 0.2500) (multiplicity 6)
S (0.2220, 0.7757, 0.7500) (multiplicity 6)

=====

No. 6
Theoretical powder X-ray diffraction pattern
Compound: K2Ag3Sb3S7
Radiation: a wavelength of 1.5418 Å
Structure: DFT lattice parameters and positions (PBE)
No peak broadening, texture or thermal motion is included.

The 10 most intense peaks (2θ = 15–90°), sorted by position:
Position (°2θ)  I (rel.)
19.29  25
24.00  48
24.41  30
25.92  29
27.35  60
29.61  100
33.68  34
34.35  36
37.46  27
49.51  32

Crystal structure
Lattice parameters (Å, degrees): 25.2325 9.1525 6.8745 90.00 90.00 90.00
Space group Cmc2_1 (No. 36)
Unique sites:
K (0.2061, 0.1928, 0.0000) (multiplicity 8)
Ag (0.0000, 0.1801, 0.6869) (multiplicity 4)
Ag (0.0905, 0.0071, 0.4440) (multiplicity 8)
Sb (0.0000, 0.3422, 0.1437) (multiplicity 4)
Sb (0.1278, 0.3904, 0.5024) (multiplicity 8)
S (0.0000, 0.1171, 0.3401) (multiplicity 4)
S (0.0743, 0.2681, 0.9315) (multiplicity 8)
S (0.1711, 0.1530, 0.5064) (multiplicity 8)
S (0.1885, 0.4932, 0.2434) (multiplicity 8)

=====

No. 7
Theoretical powder X-ray diffraction pattern
Compound: KZrAgSeS2
Radiation: a wavelength of 1.5418 Å
Structure: DFT lattice parameters and positions (PBE)
No peak broadening, texture or thermal motion is included.

The 10 most intense peaks (2θ = 15–90°), sorted by position:
Position (°2θ)  I (rel.)
28.71  61
31.72  76
32.68  100
35.78  72
36.42  31
37.14  28
39.05  34
42.25  28
44.75  58
46.28  44

Crystal structure
Lattice parameters (Å, degrees): 8.1449 3.9234 9.8166 90.00 109.96 90.00
Space group P2_1/m (No. 11)
Unique sites:
K (0.2327, 0.2500, 0.2058) (multiplicity 2)
Zr (0.1842, 0.7500, 0.6576) (multiplicity 2)
Ag (0.4221, 0.2500, 0.8935) (multiplicity 2)
Se (0.4055, 0.2500, 0.6252) (multiplicity 2)
S (0.0409, 0.7500, 0.3705) (multiplicity 2)
S (0.2311, 0.7500, 0.9284) (multiplicity 2)

=====

No. 8
Theoretical powder X-ray diffraction pattern
Compound: KZrAgSeS2
Radiation: a wavelength of 1.5418 Å
Structure: DFT lattice parameters and positions (PBE)
No peak broadening, texture or thermal motion is included.

The 10 most intense peaks (2θ = 15–90°), sorted by position:
Position (°2θ)  I (rel.)
29.68  37
31.70  46
32.63  100
34.74  58
35.83  72
36.30  53
40.28  44
44.46  36
44.74  63
46.66  43

Crystal structure
Lattice parameters (Å, degrees): 8.2290 3.8929 9.8433 90.00 109.79 90.00
Space group P2_1/m (No. 11)
Unique sites:
K (0.2391, 0.2500, 0.2619) (multiplicity 2)
Zr (0.3151, 0.7500, 0.8463) (multiplicity 2)
Ag (0.0746, 0.2500, 0.6076) (multiplicity 2)
Se (0.2788, 0.7500, 0.5641) (multiplicity 2)
S (0.1135, 0.2500, 0.8699) (multiplicity 2)
S (0.4573, 0.7500, 0.1282) (multiplicity 2)

=====

No. 9
Theoretical powder X-ray diffraction pattern
Compound: KAgSnTe2S
Radiation: a wavelength of 1.5418 Å
Structure: DFT lattice parameters and positions (PBE)
No peak broadening, texture or thermal motion is included.

The 10 most intense peaks (2θ = 15–90°), sorted by position:
Position (°2θ)  I (rel.)
15.08  34
28.58  86
29.60  30
30.44  60
32.47  100
40.71  50
42.24  37
43.95  32
51.65  26
61.44  24

Crystal structure
Lattice parameters (Å, degrees): 4.4344 13.1993 11.7474 90.00 90.00 90.00
Space group Cmcm (No. 63)
Unique sites:
K (0.0000, 0.2153, 0.2500) (multiplicity 4)
Ag (0.0000, 0.0619, 0.7500) (multiplicity 4)
Sn (0.0000, 0.5000, 0.0000) (multiplicity 4)
Te (0.0000, 0.1580, 0.5321) (multiplicity 8)
S (0.0000, 0.4678, 0.7500) (multiplicity 4)

=====

No. 10
Theoretical powder X-ray diffraction pattern
Compound: KZrAg3S4
Radiation: a wavelength of 1.5418 Å
Structure: DFT lattice parameters and positions (PBE)
No peak broadening, texture or thermal motion is included.

The 10 most intense peaks (2θ = 15–90°), sorted by position:
Position (°2θ)  I (rel.)
24.50  75
28.37  46
31.80  24
40.55  100
43.13  18
47.95  33
52.43  14
58.69  15
66.45  18
73.77  29

Crystal structure
Lattice parameters (Å, degrees): 6.2924 6.2924 6.2924 90.00 90.00 90.00
Space group P-43m (No. 215)
Unique sites:
K (0.0000, 0.0000, 0.0000) (multiplicity 1)
Zr (0.5000, 0.5000, 0.5000) (multiplicity 1)
Ag (0.0000, 0.5000, 0.5000) (multiplicity 3)
S (0.2769, 0.2769, 0.2769) (multiplicity 4)

=====

No. 11
Theoretical powder X-ray diffraction pattern
Compound: KZrAg3S4
Radiation: a wavelength of 1.5418 Å
Structure: DFT lattice parameters and positions (PBE)
No peak broadening, texture or thermal motion is included.

The 10 most intense peaks (2θ = 15–90°), sorted by position:
Position (°2θ)  I (rel.)
24.69  83
27.56  67
29.45  77
30.52  44
32.22  59
37.04  49
37.93  46
41.31  75
42.04  100
46.79  64

Crystal structure
Lattice parameters (Å, degrees): 6.1991 7.7683 10.1138 90.00 106.30 90.00
Space group P2_1/m (No. 11)
Unique sites:
K (0.1809, 0.2500, 0.3678) (multiplicity 2)
Zr (0.1339, 0.2500, 0.7940) (multiplicity 2)
Ag (0.2880, 0.5495, 0.0230) (multiplicity 4)
Ag (0.4186, 0.7500, 0.2765) (multiplicity 2)
S (0.0616, 0.2500, 0.0252) (multiplicity 2)
S (0.1652, 0.7500, 0.4174) (multiplicity 2)
S (0.3518, 0.5064, 0.7729) (multiplicity 4)

=====

No. 12
Theoretical powder X-ray diffraction pattern
Compound: K5AgSb2
Radiation: a wavelength of 1.5418 Å
Structure: DFT lattice parameters and positions (PBE)
No peak broadening, texture or thermal motion is included.

The 10 most intense peaks (2θ = 15–90°), sorted by position:
Position (°2θ)  I (rel.)
17.34  63
18.13  30
27.47  20
29.78  100
29.98  15
35.34  29
38.17  17
41.01  20
52.86  18
56.53  16

Crystal structure
Lattice parameters (Å, degrees): 6.0001 6.0001 29.1076 90.00 90.00 120.00
Space group R-3m (No. 166, hexagonal axes)
Unique sites:
K (0.0000, 0.0000, 0.0000) (multiplicity 3)
K (0.0000, 0.0000, 0.1296) (multiplicity 6)
K (0.0000, 0.0000, 0.2824) (multiplicity 6)
Ag (0.0000, 0.0000, 0.5000) (multiplicity 3)
Sb (0.0000, 0.0000, 0.4074) (multiplicity 6)

=====

What did the ninth record say?
Theoretical powder X-ray diffraction pattern
Compound: KAgSnTe2S
Radiation: a wavelength of 1.5418 Å
Structure: DFT lattice parameters and positions (PBE)
No peak broadening, texture or thermal motion is included.

The 10 most intense peaks (2θ = 15–90°), sorted by position:
Position (°2θ)  I (rel.)
15.08  34
28.58  86
29.60  30
30.44  60
32.47  100
40.71  50
42.24  37
43.95  32
51.65  26
61.44  24

Crystal structure
Lattice parameters (Å, degrees): 4.4344 13.1993 11.7474 90.00 90.00 90.00
Space group Cmcm (No. 63)
Unique sites:
K (0.0000, 0.2153, 0.2500) (multiplicity 4)
Ag (0.0000, 0.0619, 0.7500) (multiplicity 4)
Sn (0.0000, 0.5000, 0.0000) (multiplicity 4)
Te (0.0000, 0.1580, 0.5321) (multiplicity 8)
S (0.0000, 0.4678, 0.7500) (multiplicity 4)